1.
# Co3Re25B12
Simulated X-ray powder pattern, Cu Kα X-rays. Input: a crystal structure in the Materials Project, relaxed with GGA-PBE.
Intensities are scaled so that the largest is 100.

Cell and atoms:
Lattice parameters (Å, degrees): 4.944 7.438 12.917 90.00 90.12 90.00
Space group Pm (No. 6)
One atom of each set of equivalent atoms:
Co 0.000 0.000 0.000 [1 per cell]
Co 0.003 0.500 0.501 [1 per cell]
Co 0.505 0.000 0.333 [1 per cell]
Re 0.181 0.500 0.290 [1 per cell]
Re 0.184 0.185 0.603 [2 per cell]
Re 0.185 0.000 0.791 [1 per cell]
Re 0.185 0.315 0.105 [2 per cell]
Re 0.475 0.316 0.437 [2 per cell]
Re 0.476 0.000 0.123 [1 per cell]
Re 0.480 0.179 0.942 [2 per cell]
Re 0.481 0.500 0.616 [1 per cell]
Re 0.521 0.500 0.832 [1 per cell]
Re 0.683 0.000 0.541 [1 per cell]
Re 0.684 0.184 0.727 [2 per cell]
Re 0.684 0.314 0.230 [2 per cell]
Re 0.684 0.500 0.045 [1 per cell]
Re 0.974 0.182 0.393 [2 per cell]
Re 0.975 0.314 0.894 [2 per cell]
Re 0.977 0.000 0.211 [1 per cell]
Re 0.982 0.500 0.709 [1 per cell]
B 0.275 0.285 0.761 [2 per cell]
B 0.277 0.500 0.976 [1 per cell]
B 0.285 0.208 0.264 [2 per cell]
B 0.287 0.000 0.470 [1 per cell]
B 0.786 0.000 0.861 [1 per cell]
B 0.786 0.208 0.071 [2 per cell]
B 0.786 0.291 0.568 [2 per cell]
B 0.786 0.500 0.361 [1 per cell]

Peak list (10 most intense, 2θ = 10–90°, low angle first)
2θ (°), d [Å], intensity, h k l
33.17, 2.701, 51.3, 1 2 -2
36.87, 2.438, 46.7, 0 3 1
39.03, 2.308, 64.0, 2 0 2
41.27, 2.188, 100.0, 1 1 -5
41.33, 2.184, 49.5, 1 3 -1
42.02, 2.150, 26.3, 0 3 3
46.01, 1.973, 40.9, 1 0 -6
46.26, 1.963, 37.6, 2 2 -2
72.26, 1.308, 31.5, 3 3 3
74.83, 1.269, 28.9, 2 2 8



2.
# Co3ReB4
Simulated X-ray powder pattern, Cu Kα X-rays. Input: a crystal structure in the Materials Project, relaxed with GGA-PBE.
Intensities are scaled so that the largest is 100.

Cell and atoms:
Lattice parameters (Å, degrees): 4.126 3.032 5.415 90.00 91.41 90.00
Space group Pm (No. 6)
One atom of each set of equivalent atoms:
Co 0.000 0.000 0.000 [1 per cell]
Co 0.244 0.000 0.494 [1 per cell]
Co 0.743 0.500 0.347 [1 per cell]
Re 0.503 0.500 0.853 [1 per cell]
B 0.001 0.500 0.694 [1 per cell]
B 0.240 0.500 0.218 [1 per cell]
B 0.478 0.000 0.159 [1 per cell]
B 0.773 0.000 0.624 [1 per cell]

Peak list (10 most intense, 2θ = 10–90°, low angle first)
2θ (°), d [Å], intensity, h k l
16.38, 5.413, 68.4, 0 0 1
21.54, 4.125, 39.4, 1 0 0
26.85, 3.320, 48.7, 1 0 -1
33.10, 2.707, 46.4, 0 0 2
36.79, 2.443, 100.0, 1 1 0
40.29, 2.238, 94.7, 1 0 2
40.74, 2.215, 76.0, 1 1 1
44.89, 2.019, 80.8, 0 1 2
46.75, 1.943, 42.1, 2 0 -1
47.57, 1.912, 40.9, 2 0 1



3.
# Co21Re2B6
Simulated X-ray powder pattern, Cu Kα X-rays. Input: a crystal structure in the Materials Project, relaxed with GGA-PBE.
Intensities are scaled so that the largest is 100.

Cell and atoms:
Lattice parameters (Å, degrees): 10.444 10.444 10.444 90.00 90.00 90.00
Space group Fm-3m (No. 225)
One atom of each set of equivalent atoms:
Co 0.000 0.000 0.000 [4 per cell]
Co 0.000 0.169 0.169 [48 per cell]
Co 0.119 0.119 0.381 [32 per cell]
Re 0.250 0.250 0.250 [8 per cell]
B 0.000 0.000 0.276 [24 per cell]

Peak list (10 most intense, 2θ = 10–90°, low angle first)
2θ (°), d [Å], intensity, h k l
16.98, 5.222, 38.7, 2 0 0
24.10, 3.692, 25.2, 2 2 0
38.55, 2.335, 82.7, 4 2 0
42.40, 2.132, 84.6, 4 2 2
45.11, 2.010, 100.0, 3 3 3
49.36, 1.846, 46.0, 4 4 0
51.79, 1.765, 26.5, 5 3 1
58.63, 1.574, 25.6, 6 2 2
74.99, 1.266, 23.7, 6 4 4
77.56, 1.231, 41.8, 6 6 0